1.
# BaLaB2Pt8
Computed X-ray powder pattern, Cu Kα. Input: a cell relaxed with PBE.
Lines closer than 0.1° are merged.

Cell: 5.6141 5.6141 7.6499 Å, 90.00 90.00 120.00°
Space group P6/mmm (No. 191)
Asymmetric unit:
Ba: 0.0000 0.0000 0.0000 (multiplicity 1)
La: 0.0000 0.0000 0.5000 (multiplicity 1)
B: 0.3333 0.6667 0.5000 (multiplicity 2)
Pt: 0.0000 0.5000 0.3033 (multiplicity 6)
Pt: 0.3333 0.6667 0.0000 (multiplicity 2)

Top 6 peaks for 2θ from 10° to 90°, most intense first:
| d (Å) | I (rel.) | hkl |
| --- | --- | --- |
| 2.262 | 100 | 1 1 2 |
| 2.431 | 76 | 2 0 0 |
| 2.052 | 44 | 2 0 2 |
| 2.550 | 35 | 0 0 3 |
| 1.492 | 33 | 3 0 2 |
| 1.404 | 31 | 2 2 0 |

---

2.
# BaNbB
Computed X-ray powder pattern, Cu Kα. Input: a cell relaxed with PBE.
Lines closer than 0.1° are merged.

Cell: 6.395 6.395 6.395 Å, 90.00 90.00 90.00°
Space group F-43m (No. 216)
Asymmetric unit:
Ba: 0.000 0.000 0.000 (multiplicity 4)
Nb: 0.000 0.000 0.500 (multiplicity 4)
B: 0.250 0.250 0.250 (multiplicity 4)

Top 6 peaks for 2θ from 10° to 90°, most intense first:
| d (Å) | I (rel.) | hkl |
| --- | --- | --- |
| 3.197 | 100 | 2 0 0 |
| 2.261 | 87 | 2 2 0 |
| 1.430 | 36 | 4 2 0 |
| 1.305 | 29 | 4 2 2 |
| 1.846 | 27 | 2 2 2 |
| 1.599 | 15 | 4 0 0 |

---

3.
# BaNdB2Pt8
Computed X-ray powder pattern, Cu Kα. Input: a cell relaxed with PBE.
Lines closer than 0.1° are merged.

Cell: 5.5982 5.5982 7.6435 Å, 90.00 90.00 120.00°
Space group P6/mmm (No. 191)
Asymmetric unit:
Ba: 0.0000 0.0000 0.0000 (multiplicity 1)
Nd: 0.0000 0.0000 0.5000 (multiplicity 1)
B: 0.3333 0.6667 0.5000 (multiplicity 2)
Pt: 0.0000 0.5000 0.3038 (multiplicity 6)
Pt: 0.3333 0.6667 0.0000 (multiplicity 2)

Top 6 peaks for 2θ from 10° to 90°, most intense first:
| d (Å) | I (rel.) | hkl |
| --- | --- | --- |
| 2.258 | 100 | 1 1 2 |
| 2.424 | 75 | 2 0 0 |
| 2.047 | 42 | 2 0 2 |
| 2.548 | 34 | 0 0 3 |
| 1.488 | 33 | 3 0 2 |
| 1.400 | 30 | 2 2 0 |

---

4.
# BaNi2B2
Computed X-ray powder pattern, Cu Kα. Input: a cell relaxed with PBE.
Lines closer than 0.1° are merged.

Cell: 8.252 11.306 3.236 Å, 90.00 90.00 90.00°
Space group Pnnm (No. 58)
Asymmetric unit:
Ba: 0.180 0.063 0.000 (multiplicity 4)
Ni: 0.025 0.320 0.000 (multiplicity 4)
Ni: 0.174 0.794 0.500 (multiplicity 4)
B: 0.024 0.430 0.500 (multiplicity 4)
B: 0.176 0.318 0.500 (multiplicity 4)

Top 6 peaks for 2θ from 10° to 90°, most intense first:
| d (Å) | I (rel.) | hkl |
| --- | --- | --- |
| 2.673 | 100 | 1 4 0 |
| 1.965 | 46 | 3 2 1 |
| 2.911 | 44 | 1 1 1 |
| 2.455 | 31 | 0 3 1 |
| 2.783 | 28 | 2 3 0 |
| 1.809 | 27 | 4 3 0 |

---

5.
# Ba2Ni9B6
Computed X-ray powder pattern, Cu Kα. Input: a cell relaxed with PBE.
Lines closer than 0.1° are merged.

Cell: 10.0566 10.0566 14.5202 Å, 90.00 90.00 120.00°
Space group R-3c (No. 167, hexagonal axes)
Asymmetric unit:
Ba: 0.0000 0.0000 0.1226 (multiplicity 12)
Ni: 0.0000 0.4656 0.2500 (multiplicity 18)
Ni: 0.0163 0.4917 0.9160 (multiplicity 36)
B: 0.0021 0.3447 0.8099 (multiplicity 36)

Top 6 peaks for 2θ from 10° to 90°, most intense first:
| d (Å) | I (rel.) | hkl |
| --- | --- | --- |
| 2.514 | 100 | 2 2 0 |
| 1.744 | 34 | 2 2 6 |
| 2.438 | 28 | 2 1 4 |
| 3.351 | 21 | 1 0 4 |
| 1.451 | 19 | 6 0 0 |
| 2.420 | 17 | 0 0 6 |

---

6.
# Ba2ScZnB3O9
Computed X-ray powder pattern, Cu Kα. Input: a cell relaxed with PBE.
Lines closer than 0.1° are merged.

Cell: 6.386 8.307 9.105 Å, 112.28 103.55 101.83°
Space group P-1 (No. 2)
Asymmetric unit:
Ba: 0.054 0.369 0.264 (multiplicity 2)
Ba: 0.238 0.907 0.298 (multiplicity 2)
Sc: 0.317 0.328 0.655 (multiplicity 2)
Zn: 0.405 0.214 0.025 (multiplicity 2)
B: 0.168 0.966 0.675 (multiplicity 2)
B: 0.274 0.522 0.986 (multiplicity 2)
B: 0.446 0.690 0.620 (multiplicity 2)
O: 0.012 0.179 0.457 (multiplicity 2)
O: 0.140 0.380 0.828 (multiplicity 2)
O: 0.168 0.002 0.837 (multiplicity 2)
O: 0.277 0.550 0.610 (multiplicity 2)
O: 0.305 0.702 0.011 (multiplicity 2)
O: 0.330 0.075 0.646 (multiplicity 2)
O: 0.371 0.482 0.117 (multiplicity 2)
O: 0.385 0.188 0.227 (multiplicity 2)
O: 0.453 0.706 0.475 (multiplicity 2)

Top 6 peaks for 2θ from 10° to 90°, most intense first:
| d (Å) | I (rel.) | hkl |
| --- | --- | --- |
| 3.064 | 100 | -1 2 1 |
| 4.065 | 90 | 0 2 -1 |
| 3.081 | 84 | 1 -2 2 |
| 3.975 | 65 | 1 0 -2 |
| 2.666 | 60 | 1 2 -3 |
| 2.766 | 48 | 2 -2 0 |

---

7.
# BaSrB2Pt8
Computed X-ray powder pattern, Cu Kα. Input: a cell relaxed with PBE.
Lines closer than 0.1° are merged.

Cell: 5.6482 5.6482 7.5539 Å, 90.00 90.00 120.00°
Space group P6/mmm (No. 191)
Asymmetric unit:
Ba: 0.0000 0.0000 0.0000 (multiplicity 1)
Sr: 0.0000 0.0000 0.5000 (multiplicity 1)
B: 0.3333 0.6667 0.5000 (multiplicity 2)
Pt: 0.0000 0.5000 0.3043 (multiplicity 6)
Pt: 0.3333 0.6667 0.0000 (multiplicity 2)

Top 6 peaks for 2θ from 10° to 90°, most intense first:
| d (Å) | I (rel.) | hkl |
| --- | --- | --- |
| 2.446 | 100 | 2 0 0 |
| 2.262 | 98 | 1 1 2 |
| 2.053 | 67 | 2 0 2 |
| 4.891 | 55 | 1 0 0 |
| 2.645 | 53 | 1 1 1 |
| 2.518 | 51 | 0 0 3 |

---

8.
# BaB4W
Computed X-ray powder pattern, Cu Kα. Input: a cell relaxed with PBE.
Lines closer than 0.1° are merged.

Cell: 3.1209 3.1209 8.2560 Å, 90.00 90.00 120.00°
Space group P6/mmm (No. 191)
Asymmetric unit:
Ba: 0.0000 0.0000 0.0000 (multiplicity 1)
B: 0.3333 0.6667 0.3024 (multiplicity 4)
W: 0.0000 0.0000 0.5000 (multiplicity 1)

Top 6 peaks for 2θ from 10° to 90°, most intense first:
| d (Å) | I (rel.) | hkl |
| --- | --- | --- |
| 2.261 | 100 | 1 0 2 |
| 2.703 | 69 | 1 0 0 |
| 4.128 | 61 | 0 0 2 |
| 1.640 | 34 | 1 0 4 |
| 1.460 | 20 | 1 1 2 |
| 1.560 | 17 | 1 1 0 |